Computed powder X-ray diffraction pattern of Na2AgTeO4 for Cu Kα (weighted mean of Kα1 and Kα2), from the PBE geometry in Alexandria.
Neutral-atom scattering factors, no anomalous dispersion.

Principal peaks in the range 10 to 80 degrees two-theta, by intensity:
- 15.9 deg, intensity 100.0
- 38.7 deg, intensity 89.4
- 32.2 deg, intensity 65.2
- 31.9 deg, intensity 65.1
- 52.4 deg, intensity 58.3
- 33.9 deg, intensity 54.9
- 15.8 deg, intensity 51.8
- 31.4 deg, intensity 28.7
- 28.7 deg, intensity 23.5
- 31.7 deg, intensity 19.3

```
16
Lattice="-3.2694 3.3115 5.2883 3.2694 -3.3115 5.2883 3.2694 3.3115 -5.2883" Properties=species:S:1:pos:R:3 pbc="T T T"
Na 0.0000 0.0000 0.0000
Na -1.6347 1.6557 2.6442
Na 0.0000 3.3115 0.0000
Na 1.6347 1.6557 2.6442
Ag 1.6347 1.6557 -2.6442
Ag 1.6347 -1.6557 2.6442
Te 3.2694 0.0000 0.0000
Te 0.0000 0.0000 5.2883
O 3.2694 -0.0054 2.0003
O 1.8544 1.6557 0.0741
O 4.6844 1.6557 0.0741
O 3.2694 3.3061 -2.0003
O 0.0000 0.0054 7.2886
O -1.4150 1.6557 5.2142
O 1.4150 1.6557 5.2142
O 0.0000 3.3168 3.2880
```

***

Computed powder X-ray diffraction pattern of Na2Ti3AgO8 for Cu Kα (weighted mean of Kα1 and Kα2), from the PBE geometry in Alexandria.
Neutral-atom scattering factors, no anomalous dispersion.

Principal peaks in the range 10 to 80 degrees two-theta, by intensity:
- 33.6 deg, intensity 100.0
- 27.3 deg, intensity 75.0
- 34.6 deg, intensity 60.6
- 20.0 deg, intensity 53.0
- 31.7 deg, intensity 47.3
- 56.3 deg, intensity 40.5
- 51.8 deg, intensity 39.9
- 61.1 deg, intensity 38.7
- 15.9 deg, intensity 35.1
- 29.4 deg, intensity 30.5

```
14
Lattice="3.0338 1.7516 5.5663 -3.0338 1.7516 5.5663 0.0000 -3.5031 5.5663" Properties=species:S:1:pos:R:3 pbc="T T T"
Na 0.0000 0.0000 0.0000
Na 0.0000 0.0000 6.1420
Ti 0.0000 -1.7818 8.9907
Ti -1.5430 0.8909 8.9907
Ti 1.5430 0.8909 8.9907
Ag 0.0000 0.0000 12.4653
O 0.0000 -1.5844 4.3862
O -1.3721 0.7922 4.3862
O 0.0000 0.0000 2.3226
O -1.3297 -0.7677 7.8737
O 1.3721 0.7922 4.3862
O 0.0000 0.0000 10.0482
O 1.3296 -0.7677 7.8737
O 0.0000 1.5353 7.8737
```